Structure and simulated X-ray powder pattern of Rb3Li2TmBr8 (a structure optimized by DFT (PBE); Cu Kα).
Lines closer than 0.1° are merged.

Structure:
a = 7.7527 Å, b = 7.7527 Å, c = 9.8732 Å
α = 90.00°, β = 90.00°, γ = 120.00°
Atoms (fractional coordinates):
Rb 0.0000 0.0000 0.0000
Rb 0.3333 0.6667 0.6341
Rb 0.6667 0.3333 0.3659
Li 0.3333 0.6667 0.2006
Li 0.6667 0.3333 0.7994
Tm 0.0000 0.0000 0.5000
Br 0.1650 0.3300 0.3339
Br 0.1650 0.8350 0.3339
Br 0.3300 0.1650 0.6661
Br 0.3333 0.6667 0.9616
Br 0.6667 0.3333 0.0384
Br 0.6700 0.8350 0.3339
Br 0.8350 0.1650 0.6661
Br 0.8350 0.6700 0.6661

The 12 most intense peaks (2θ = 10–90°), in order of rising 2θ:
index	d [Å]	2theta	I/Imax
1 0 0	6.714	13.19	31
0 1 1	5.552	15.96	33
1 1 0	3.876	22.94	62
0 0 3	3.291	27.09	32
0 2 1	3.178	28.07	100
1 1 2	3.049	29.29	71
2 0 2	2.776	32.25	84
2 0 3	2.350	38.30	41
3 0 2	2.038	44.45	22
0 2 4	1.989	45.62	45
2 2 0	1.938	46.88	55
2 2 3	1.670	54.98	25

Structure and simulated X-ray powder pattern of Ba5Yb2ZrAl2O13 (a structure optimized by DFT (PBE); Cu Kα).
Lines closer than 0.1° are merged.

Structure:
a = 6.0215 Å, b = 6.0215 Å, c = 25.2436 Å
α = 90.00°, β = 90.00°, γ = 120.00°
Atoms (fractional coordinates):
Ba 0.0000 0.0000 0.1375
Ba 0.0000 0.0000 0.3625
Ba 0.0000 0.0000 0.6375
Ba 0.0000 0.0000 0.8625
Ba 0.3333 0.6667 0.0415
Ba 0.3333 0.6667 0.4585
Ba 0.3333 0.6667 0.7500
Ba 0.6667 0.3333 0.2500
Ba 0.6667 0.3333 0.5415
Ba 0.6667 0.3333 0.9585
Yb 0.3333 0.6667 0.6044
Yb 0.3333 0.6667 0.8956
Yb 0.6667 0.3333 0.1044
Yb 0.6667 0.3333 0.3956
Zr 0.0000 0.0000 0.0000
Zr 0.0000 0.0000 0.5000
Al 0.3333 0.6667 0.1811
Al 0.3333 0.6667 0.3189
Al 0.6667 0.3333 0.6811
Al 0.6667 0.3333 0.8189
O 0.0106 0.5053 0.1587
O 0.0106 0.5053 0.3413
O 0.1626 0.3253 0.5500
O 0.1626 0.3253 0.9500
O 0.1626 0.8374 0.5500
O 0.1626 0.8374 0.9500
O 0.3253 0.1626 0.0500
O 0.3253 0.1626 0.4500
O 0.3333 0.6667 0.2500
O 0.4947 0.5053 0.1587
O 0.4947 0.5053 0.3413
O 0.4947 0.9894 0.1587
O 0.4947 0.9894 0.3413
O 0.5053 0.0106 0.6587
O 0.5053 0.0106 0.8413
O 0.5053 0.4947 0.6587
O 0.5053 0.4947 0.8413
O 0.6667 0.3333 0.7500
O 0.6747 0.8374 0.5500
O 0.6747 0.8374 0.9500
O 0.8374 0.1626 0.0500
O 0.8374 0.1626 0.4500
O 0.8374 0.6747 0.0500
O 0.8374 0.6747 0.4500
O 0.9894 0.4947 0.6587
O 0.9894 0.4947 0.8413

The 12 most intense peaks (2θ = 10–90°), in order of rising 2θ:
index	d [Å]	2theta	I/Imax
1 0 1	5.107	17.36	19
1 0 6	3.274	27.23	24
1 1 0	3.011	29.67	100
1 0 7	2.966	30.13	65
2 0 6	2.216	40.71	17
1 1 8	2.178	41.45	15
2 0 7	2.113	42.80	32
3 0 0	1.738	52.66	20
2 1 7	1.730	52.94	26
1 0 14	1.704	53.79	15
2 2 0	1.505	61.61	18
2 1 14	1.330	70.83	13

Structure and simulated X-ray powder pattern of CsBaSiHO4 (a structure optimized by DFT (PBE); Cu Kα).
Lines closer than 0.1° are merged.

Structure:
a = 5.9238 Å, b = 8.6906 Å, c = 6.4829 Å
α = 90.00°, β = 116.85°, γ = 90.00°
Atoms (fractional coordinates):
Cs 0.1475 0.0000 0.3830
Cs 0.8525 0.5000 0.6170
Ba 0.4840 0.2543 0.9124
Ba 0.5160 0.7543 0.0876
Si 0.1679 0.4264 0.2411
Si 0.8321 0.9264 0.7589
H 0.0040 0.6660 0.0907
H 0.9960 0.1660 0.9093
O 0.0166 0.0880 0.8003
O 0.0267 0.7917 0.9227
O 0.2947 0.3819 0.5156
O 0.3770 0.4694 0.1481
O 0.6230 0.9694 0.8519
O 0.7053 0.8819 0.4844
O 0.9733 0.2917 0.0773
O 0.9834 0.5880 0.1997

The 12 most intense peaks (2θ = 10–90°), in order of rising 2θ:
index	d [Å]	2theta	I/Imax
1 1 -1	4.504	19.71	71
0 2 1	3.474	25.64	83
1 2 0	3.354	26.57	100
1 0 1	3.240	27.53	46
1 0 -2	3.223	27.68	23
1 1 -2	3.022	29.56	33
2 0 -1	2.962	30.17	47
0 1 2	2.744	32.63	36
1 3 -1	2.538	35.36	34
2 2 0	2.258	39.93	19
2 2 -2	2.250	40.07	29
1 4 1	1.804	50.60	22

Structure and simulated X-ray powder pattern of BaPa2SbS8 (a structure optimized by DFT (PBE); Cu Kα).
Lines closer than 0.1° are merged.

Structure:
a = 6.2294 Å, b = 8.4943 Å, c = 6.4085 Å
α = 90.00°, β = 92.80°, γ = 90.00°
Atoms (fractional coordinates):
Ba 0.0000 0.0000 0.0000
Pa 0.5000 0.2537 0.5000
Pa 0.5000 0.7463 0.5000
Sb 0.0000 0.5000 0.0000
S 0.2572 0.2852 0.1619
S 0.2572 0.7148 0.1619
S 0.2679 0.5000 0.6426
S 0.2838 0.0000 0.6187
S 0.7162 0.0000 0.3813
S 0.7321 0.5000 0.3574
S 0.7428 0.2852 0.8381
S 0.7428 0.7148 0.8381

The 12 most intense peaks (2θ = 10–90°), in order of rising 2θ:
index	d [Å]	2theta	I/Imax
1 0 -1	4.575	19.40	100
1 0 1	4.356	20.39	80
0 2 1	3.539	25.16	58
1 2 0	3.508	25.39	92
0 0 2	3.200	27.88	31
2 0 0	3.112	28.69	35
1 2 -2	2.397	37.52	37
2 2 -1	2.369	37.99	54
1 2 2	2.332	38.60	30
2 2 1	2.306	39.06	41
0 4 0	2.124	42.57	21
0 2 3	1.907	47.68	49

Structure and simulated X-ray powder pattern of Ce4Ga2S5O4 (a structure optimized by DFT (PBE); Cu Kα).
Lines closer than 0.1° are merged.

Structure:
a = 3.8861 Å, b = 7.8571 Å, c = 9.6742 Å
α = 101.59°, β = 101.58°, γ = 90.20°
Atoms (fractional coordinates):
Ce 0.0000 0.0000 0.0000
Ce 0.0029 0.4968 0.0099
Ce 0.3608 0.6744 0.7272
Ce 0.3645 0.1861 0.7291
Ga 0.0407 0.2430 0.3666
Ga 0.6831 0.7337 0.3660
S 0.1763 0.5679 0.3616
S 0.5690 0.7977 0.1450
S 0.5702 0.2695 0.1429
S 0.7896 0.9069 0.5864
S 0.7931 0.3873 0.5909
O 0.4295 0.9600 0.8606
O 0.4361 0.4659 0.8730
O 0.9317 0.7125 0.8660
O 0.9334 0.2132 0.8660

The 12 most intense peaks (2θ = 10–90°), in order of rising 2θ:
index	d [Å]	2theta	I/Imax
0 2 -2	3.316	26.89	100
1 0 1	3.290	27.10	86
0 0 3	3.091	28.88	47
1 -2 0	2.768	32.35	46
1 2 -1	2.758	32.46	62
0 2 2	2.697	33.22	80
1 0 2	2.683	33.39	81
1 -2 3	2.062	43.91	23
1 2 -4	2.058	44.00	34
2 0 -1	1.943	46.75	31
0 4 0	1.922	47.31	23
0 2 -5	1.825	49.98	23

Structure and simulated X-ray powder pattern of Mg3In5Pb3 (a structure optimized by DFT (PBE); Cu Kα).
Lines closer than 0.1° are merged.

Structure:
a = 6.2729 Å, b = 6.7327 Å, c = 7.3946 Å
α = 100.72°, β = 94.43°, γ = 93.07°
Atoms (fractional coordinates):
Mg 0.0000 0.0000 0.0000
Mg 0.2707 0.3791 0.3089
Mg 0.6348 0.6890 0.6537
In 0.1363 0.1895 0.6541
In 0.3439 0.9037 0.3248
In 0.4451 0.5521 0.9926
In 0.8266 0.8257 0.3156
In 0.9275 0.4741 0.9832
Pb 0.1351 0.6896 0.6546
Pb 0.5039 0.0628 0.9474
Pb 0.7670 0.3152 0.3613

The 12 most intense peaks (2θ = 10–90°), in order of rising 2θ:
index	d [Å]	2theta	I/Imax
1 0 -1	4.948	17.93	93
1 -1 0	4.699	18.88	41
0 1 -2	3.466	25.70	34
1 0 2	3.016	29.62	32
1 2 -1	2.846	31.43	29
0 2 1	2.807	31.88	91
2 0 1	2.776	32.24	100
0 2 -2	2.711	33.04	85
2 0 -2	2.475	36.30	71
0 0 3	2.412	37.28	56
2 -2 0	2.350	38.31	57
2 2 -1	2.218	40.68	26